This entry pairs a crystal structure of CaV6O11F with its computed X-ray powder pattern. Radiation: Cu Kα. Structure: a GGA+U-relaxed structure.

Largest 10 diffraction maxima, sorted by position, 2θ from 10° to 80°:
Position (°2θ)	d (Å)	I_rel
21.22	4.186	80
22.99	3.868	16
27.77	3.212	100
30.95	2.889	16
35.14	2.554	16
35.77	2.510	19
36.84	2.440	23
39.52	2.280	30
52.40	1.746	21
57.39	1.606	19

Structural model:
abc: 5.185 5.392 8.561
angles: 86.35 87.20 74.85
Fractional positions:
Ca  0.000  0.000  0.000
V  0.163  0.437  0.278
V  0.164  0.438  0.593
V  0.195  0.441  0.939
V  0.569  0.823  0.143
V  0.570  0.835  0.763
V  0.750  0.031  0.440
O  0.331  0.615  0.097
O  0.332  0.574  0.422
O  0.345  0.631  0.760
O  0.433  0.073  0.947
O  0.474  0.117  0.281
O  0.475  0.122  0.611
O  0.821  0.700  0.929
O  0.844  0.745  0.600
O  0.882  0.786  0.272
O  0.962  0.250  0.447
O  0.991  0.331  0.127
F  0.003  0.271  0.782